No. 1
Theoretical X-ray diffraction stick pattern
Compound: La3ZrSb5
Radiation: λ = 1.5418 Å (Cu Kα)
Structure: a cell relaxed with GGA-PBE
Kinematic intensities with the Lorentz-polarization factor, no thermal factor.

The 10 most intense peaks (2θ from 10° to 80°), by angle:
- 27.79 deg, rel. 12, (0 0 2)
- 31.55 deg, rel. 77, (2 1 1)
- 32.12 deg, rel. 83, (3 0 0)
- 33.52 deg, rel. 100, (1 1 2)
- 41.40 deg, rel. 17, (3 1 1)
- 47.10 deg, rel. 28, (2 2 2)
- 49.60 deg, rel. 13, (3 2 1)
- 51.57 deg, rel. 19, (2 1 3)
- 58.15 deg, rel. 13, (4 1 2)
- 67.31 deg, rel. 19, (3 0 4)

Cell and atoms:
a = 9.6548 Å, b = 9.6548 Å, c = 6.4212 Å
α = 90.00°, β = 90.00°, γ = 120.00°
Space group P6_3/mcm (No. 193)
Symmetry-distinct sites (fractional):
La (0.0000, 0.3823, 0.2500)
Zr (0.0000, 0.0000, 0.0000)
Sb (0.0000, 0.2599, 0.7500)
Sb (0.3333, 0.6667, 0.0000)

No. 2
Theoretical X-ray diffraction stick pattern
Compound: CaMn2As2
Radiation: λ = 1.5418 Å (Cu Kα)
Structure: a cell relaxed with GGA-PBE
Kinematic intensities with the Lorentz-polarization factor, no thermal factor.

The 10 most intense peaks (2θ from 10° to 80°), by angle:
- 12.65 deg, rel. 33, (0 0 1)
- 25.71 deg, rel. 41, (1 0 0)
- 28.76 deg, rel. 100, (0 1 1)
- 36.50 deg, rel. 62, (0 1 2)
- 38.61 deg, rel. 15, (0 0 3)
- 45.34 deg, rel. 97, (1 1 0)
- 46.97 deg, rel. 76, (0 1 3)
- 54.58 deg, rel. 16, (2 0 1)
- 61.03 deg, rel. 22, (1 1 3)
- 67.34 deg, rel. 25, (2 0 3)

Cell and atoms:
a = 4.0003 Å, b = 4.0003 Å, c = 6.9955 Å
α = 90.00°, β = 90.00°, γ = 120.00°
Space group P-3m1 (No. 164)
Symmetry-distinct sites (fractional):
Ca (0.0000, 0.0000, 0.0000)
Mn (0.3333, 0.6667, 0.6159)
As (0.3333, 0.6667, 0.2709)

No. 3
Theoretical X-ray diffraction stick pattern
Compound: Gd2HfO5
Radiation: λ = 1.5418 Å (Cu Kα)
Structure: a cell relaxed with GGA-PBE
Kinematic intensities with the Lorentz-polarization factor, no thermal factor.

The 10 most intense peaks (2θ from 10° to 80°), by angle:
- 24.23 deg, rel. 19, (1 0 3)
- 28.15 deg, rel. 78, (2 0 3)
- 28.71 deg, rel. 100, (2 1 0)
- 32.94 deg, rel. 58, (0 1 3)
- 33.98 deg, rel. 17, (1 1 3)
- 47.30 deg, rel. 49, (4 1 3)
- 47.99 deg, rel. 19, (0 2 0)
- 53.49 deg, rel. 13, (1 1 6)
- 56.57 deg, rel. 22, (2 2 3)
- 59.03 deg, rel. 14, (3 1 6)

Cell and atoms:
a = 10.8714 Å, b = 3.7912 Å, c = 11.7069 Å
α = 90.00°, β = 90.00°, γ = 90.00°
Space group Pnma (No. 62)
Symmetry-distinct sites (fractional):
Gd (0.1176, 0.2500, 0.2220)
Gd (0.1302, 0.2500, 0.5607)
Hf (0.1746, 0.2500, 0.8835)
O (0.0013, 0.2500, 0.8428)
O (0.0051, 0.7500, 0.6041)
O (0.2294, 0.2500, 0.0493)
O (0.2446, 0.7500, 0.2284)
O (0.2458, 0.7500, 0.8864)

No. 4
Theoretical X-ray diffraction stick pattern
Compound: EuMgF4
Radiation: λ = 1.5418 Å (Cu Kα)
Structure: a cell relaxed with GGA-PBE
Kinematic intensities with the Lorentz-polarization factor, no thermal factor.

The 10 most intense peaks (2θ from 10° to 80°), by angle:
- 11.83 deg, rel. 43, (0 2 0)
- 19.79 deg, rel. 46, (0 2 1)
- 27.67 deg, rel. 100, (1 1 1)
- 28.24 deg, rel. 51, (1 3 0)
- 28.69 deg, rel. 68, (0 4 1)
- 39.44 deg, rel. 23, (1 1 2)
- 40.70 deg, rel. 30, (1 5 1)
- 43.13 deg, rel. 50, (1 3 2)
- 44.35 deg, rel. 25, (2 0 0)
- 53.68 deg, rel. 23, (2 4 1)

Cell and atoms:
a = 4.0850 Å, b = 14.9586 Å, c = 5.6079 Å
α = 90.00°, β = 90.00°, γ = 90.00°
Space group Cmcm (No. 63)
Symmetry-distinct sites (fractional):
Eu (0.0000, 0.1670, 0.2500)
Mg (0.0000, 0.4114, 0.2500)
F (0.0000, 0.1008, 0.7500)
F (0.0000, 0.3130, 0.0034)
F (0.0000, 0.5000, 0.0000)

No. 5
Theoretical X-ray diffraction stick pattern
Compound: Dy5BiAu2
Radiation: λ = 1.5418 Å (Cu Kα)
Structure: a cell relaxed with GGA-PBE
Kinematic intensities with the Lorentz-polarization factor, no thermal factor.

The 10 most intense peaks (2θ from 10° to 80°), by angle:
- 31.01 deg, rel. 11, (2 2 0)
- 31.41 deg, rel. 15, (1 1 4)
- 31.97 deg, rel. 100, (2 1 3)
- 34.78 deg, rel. 66, (3 1 0)
- 35.14 deg, rel. 21, (2 0 4)
- 42.48 deg, rel. 18, (2 1 5)
- 50.01 deg, rel. 10, (4 2 0)
- 64.62 deg, rel. 13, (4 4 0)
- 65.19 deg, rel. 19, (5 2 3)
- 67.78 deg, rel. 16, (3 1 8)

Cell and atoms:
a = 8.1570 Å, b = 8.1570 Å, c = 13.1012 Å
α = 90.00°, β = 90.00°, γ = 90.00°
Space group I4/mcm (No. 140)
Symmetry-distinct sites (fractional):
Dy (0.0000, 0.0000, 0.0000)
Dy (0.1559, 0.3441, 0.1399)
Bi (0.0000, 0.0000, 0.2500)
Au (0.1370, 0.3630, 0.5000)

No. 6
Theoretical X-ray diffraction stick pattern
Compound: Cu2NiSnSe4
Radiation: λ = 1.5418 Å (Cu Kα)
Structure: a cell relaxed with GGA-PBE
Kinematic intensities with the Lorentz-polarization factor, no thermal factor.

The 10 most intense peaks (2θ from 10° to 80°), by angle:
- 27.35 deg, rel. 100, (1 1 2)
- 36.49 deg, rel. 4, (1 2 1)
- 45.38 deg, rel. 47, (2 0 4)
- 45.48 deg, rel. 24, (2 2 0)
- 53.70 deg, rel. 14, (1 1 6)
- 53.89 deg, rel. 28, (1 3 2)
- 65.95 deg, rel. 3, (0 0 8)
- 66.28 deg, rel. 7, (4 0 0)
- 72.95 deg, rel. 10, (3 1 6)
- 73.11 deg, rel. 5, (3 3 2)

Cell and atoms:
a = 5.6408 Å, b = 5.6408 Å, c = 11.3311 Å
α = 90.00°, β = 90.00°, γ = 90.00°
Space group I-4 (No. 82)
Symmetry-distinct sites (fractional):
Cu (0.0000, 0.0000, 0.0000)
Cu (0.0000, 0.5000, 0.2500)
Ni (0.0000, 0.0000, 0.5000)
Sn (0.0000, 0.5000, 0.7500)
Se (0.2267, 0.2617, 0.3862)